[1]
# AcCd2Pt2
Calculated powder X-ray diffraction pattern, Cu Ka. Input: the PBE geometry in Alexandria.

Largest 8 diffraction maxima, in order of falling intensity, 2θ = 10–90°:
d/Å, Position (°2θ), I_rel
2.723, 32.9, 100
2.582, 34.7, 81
2.120, 42.7, 55
1.638, 56.1, 42
1.932, 47.0, 31
2.998, 29.8, 28
1.428, 65.3, 24
1.313, 71.9, 21

Cell and atoms:
```
data_AcCd2Pt2
_chemical_formula_sum 'Ac1 Cd2 Pt2'
_space_group_name_H-M_alt 'P 1'
_space_group_IT_number 1
_cell_length_a 4.2396
_cell_length_b 4.2396
_cell_length_c 6.5121
_cell_angle_alpha 90.00
_cell_angle_beta 90.00
_cell_angle_gamma 90.00
loop_
_space_group_symop_operation_xyz
'x,y,z'
loop_
_atom_site_label
_atom_site_type_symbol
_atom_site_fract_x
_atom_site_fract_y
_atom_site_fract_z
Ac1 Ac 0.0000 0.0000 0.0000
Cd1 Cd 0.0000 0.5000 0.5000
Cd2 Cd 0.5000 0.0000 0.5000
Pt1 Pt 0.5000 0.5000 0.2045
Pt2 Pt 0.5000 0.5000 0.7955
```

[2]
# Ac2CdPt3
Calculated powder X-ray diffraction pattern, Cu Ka. Input: the PBE geometry in Alexandria.

Largest 8 diffraction maxima, in order of falling intensity, 2θ = 10–90°:
d/Å, Position (°2θ), I_rel
2.905, 30.8, 100
2.818, 31.8, 60
2.286, 39.4, 57
2.434, 36.9, 36
1.842, 49.5, 35
1.525, 60.7, 33
2.047, 44.3, 21
1.566, 59.0, 18

Cell and atoms:
```
data_Ac2CdPt3
_chemical_formula_sum 'Ac4 Cd2 Pt6'
_space_group_name_H-M_alt 'P 1'
_space_group_IT_number 1
_cell_length_a 9.1678
_cell_length_b 8.7817
_cell_length_c 6.3596
_cell_angle_alpha 72.54
_cell_angle_beta 66.03
_cell_angle_gamma 41.43
loop_
_space_group_symop_operation_xyz
'x,y,z'
loop_
_atom_site_label
_atom_site_type_symbol
_atom_site_fract_x
_atom_site_fract_y
_atom_site_fract_z
Ac1 Ac 0.2414 0.7586 0.7586
Ac2 Ac 0.2500 0.2500 0.2500
Ac3 Ac 0.7500 0.7500 0.7500
Ac4 Ac 0.7586 0.2414 0.2414
Cd1 Cd 0.3318 0.3318 0.6682
Cd2 Cd 0.6682 0.6682 0.3318
Pt1 Pt 0.1574 0.1574 0.8426
Pt2 Pt 0.1652 0.6593 0.3407
Pt3 Pt 0.3407 0.8348 0.1652
Pt4 Pt 0.6593 0.1652 0.8348
Pt5 Pt 0.8348 0.3407 0.6593
Pt6 Pt 0.8426 0.8426 0.1574
```